The following is a calculated powder XRD pattern of InHgPbSe. It was derived from DFT lattice parameters and positions (PBE), using Cu Kα X-rays.

The 12 most intense peaks (2θ from 10° to 80°), by angle:
2θ/deg  intensity
20.66  95
30.36  27
32.41  81
34.48  15
35.07  100
41.05  17
47.05  49
48.49  27
55.07  15
61.24  27
62.92  19
71.45  14

Cell and atoms:
a b c (Å): 12.1430 12.1430 12.1430
angles (deg): 24.33 24.33 24.33
Positions (direct):
In: 0.1099 0.1099 0.1099
In: 0.8901 0.8901 0.8901
Hg: 0.1959 0.1959 0.1959
Hg: 0.8041 0.8041 0.8041
Pb: 0.2927 0.2927 0.2927
Pb: 0.7073 0.7073 0.7073
Se: 0.3781 0.3781 0.3781
Se: 0.6219 0.6219 0.6219

The following is a calculated powder XRD pattern of Sr2GaAu6. It was derived from DFT lattice parameters and positions (PBE), using Cu Kα X-rays.

The 12 most intense peaks (2θ from 10° to 80°), by angle:
2θ/deg  intensity
16.34  6
18.89  19
33.02  100
38.31  61
41.90  16
43.04  5
50.46  17
55.29  37
65.93  31
69.27  11
71.72  10
78.11  13

Cell and atoms:
a b c (Å): 6.6455 6.6455 6.6455
angles (deg): 60.00 60.00 60.00
Positions (direct):
Sr: 0.2500 0.2500 0.2500
Sr: 0.7500 0.7500 0.7500
Ga: 0.0000 0.0000 0.0000
Au: 0.2771 0.2771 0.7229
Au: 0.2771 0.7229 0.2771
Au: 0.2771 0.7229 0.7229
Au: 0.7229 0.2771 0.2771
Au: 0.7229 0.2771 0.7229
Au: 0.7229 0.7229 0.2771

The following is a calculated powder XRD pattern of PrDyHo4. It was derived from DFT lattice parameters and positions (PBE), using Cu Kα X-rays.

The 12 most intense peaks (2θ from 10° to 80°), by angle:
2θ/deg  intensity
30.78  100
35.61  17
35.73  34
51.29  12
51.41  24
60.97  11
61.06  11
61.17  21
64.01  3
64.16  9
75.41  2
75.70  4

Cell and atoms:
a b c (Å): 3.5561 6.1587 9.4147
angles (deg): 77.26 79.22 73.38
Positions (direct):
Pr: 0.0000 0.0000 0.0000
Dy: 0.0000 0.5000 0.5000
Ho: 0.3322 0.9996 0.3362
Ho: 0.3329 0.5022 0.8310
Ho: 0.6671 0.4978 0.1690
Ho: 0.6678 0.0004 0.6638

The following is a calculated powder XRD pattern of Ca2MgInPb5. It was derived from DFT lattice parameters and positions (PBE), using Cu Kα X-rays.

The 12 most intense peaks (2θ from 10° to 80°), by angle:
2θ/deg  intensity
20.03  10
22.43  36
28.48  52
31.92  100
33.52  39
42.02  23
49.29  25
50.42  22
52.64  10
58.92  19
60.93  19
63.87  8

Cell and atoms:
a b c (Å): 8.8648 8.8648 7.2420
angles (deg): 90.00 90.00 90.00
Positions (direct):
Ca: 0.1261 0.3739 0.0000
Ca: 0.3739 0.8739 0.0000
Ca: 0.6261 0.1261 0.0000
Ca: 0.8739 0.6261 0.0000
Mg: 0.0000 0.5000 0.5000
Mg: 0.5000 0.0000 0.5000
In: 0.0000 0.0000 0.5000
In: 0.5000 0.5000 0.5000
Pb: 0.0000 0.0000 0.0000
Pb: 0.1951 0.6951 0.2817
Pb: 0.1951 0.6951 0.7183
Pb: 0.3049 0.1951 0.2817
Pb: 0.3049 0.1951 0.7183
Pb: 0.5000 0.5000 0.0000
Pb: 0.6951 0.8049 0.2817
Pb: 0.6951 0.8049 0.7183
Pb: 0.8049 0.3049 0.2817
Pb: 0.8049 0.3049 0.7183

The following is a calculated powder XRD pattern of Ca11Tl9In4. It was derived from DFT lattice parameters and positions (PBE), using Cu Kα X-rays.

The 12 most intense peaks (2θ from 10° to 80°), by angle:
2θ/deg  intensity
21.94  37
22.90  65
23.77  31
30.94  31
31.92  87
32.56  100
33.24  75
36.35  22
40.18  55
44.73  22
46.79  23
58.16  39

Cell and atoms:
a b c (Å): 13.8500 13.8500 3.8829
angles (deg): 90.00 90.00 108.37
Positions (direct):
Ca: 0.0000 0.0000 0.0000
Ca: 0.0650 0.4065 0.0000
Ca: 0.1767 0.8233 0.0000
Ca: 0.2381 0.2381 0.0000
Ca: 0.3582 0.6418 0.0000
Ca: 0.4065 0.0650 0.0000
Ca: 0.5935 0.9350 0.0000
Ca: 0.6418 0.3582 0.0000
Ca: 0.7619 0.7619 0.0000
Ca: 0.8233 0.1767 0.0000
Ca: 0.9350 0.5935 0.0000
Tl: 0.0304 0.2015 0.5000
Tl: 0.1472 0.6172 0.5000
Tl: 0.2015 0.0304 0.5000
Tl: 0.3828 0.8528 0.5000
Tl: 0.5000 0.5000 0.5000
Tl: 0.6172 0.1472 0.5000
Tl: 0.7985 0.9696 0.5000
Tl: 0.8528 0.3828 0.5000
Tl: 0.9696 0.7985 0.5000
In: 0.2641 0.4369 0.5000
In: 0.4369 0.2641 0.5000
In: 0.5631 0.7359 0.5000
In: 0.7359 0.5631 0.5000

The following is a calculated powder XRD pattern of Pr3Mg7Ir4. It was derived from DFT lattice parameters and positions (PBE), using Cu Kα X-rays.

The 12 most intense peaks (2θ from 10° to 80°), by angle:
2θ/deg  intensity
20.48  100
25.75  56
26.55  45
28.91  55
30.26  33
32.68  36
33.04  81
34.46  40
34.59  98
39.67  37
40.30  73
42.34  58

Cell and atoms:
a b c (Å): 8.4483 8.4483 10.5702
angles (deg): 123.56 123.56 29.27
Positions (direct):
Pr: 0.0000 0.0000 0.0000
Pr: 0.3009 0.3009 0.2818
Pr: 0.6991 0.6991 0.7182
Mg: 0.0000 0.0000 0.5000
Mg: 0.1701 0.1701 0.4286
Mg: 0.3199 0.3199 0.9891
Mg: 0.4871 0.4871 0.7125
Mg: 0.5129 0.5129 0.2875
Mg: 0.6801 0.6801 0.0109
Mg: 0.8299 0.8299 0.5714
Ir: 0.1074 0.1074 0.8100
Ir: 0.3358 0.3358 0.7405
Ir: 0.6642 0.6642 0.2595
Ir: 0.8926 0.8926 0.1900

The following is a calculated powder XRD pattern of MnH4NCl3. It was derived from DFT lattice parameters and positions (PBE), using Cu Kα X-rays.

The 12 most intense peaks (2θ from 10° to 80°), by angle:
2θ/deg  intensity
17.32  100
17.77  45
24.91  27
30.50  41
35.05  97
35.98  41
39.35  27
39.56  25
40.19  28
50.42  29
51.11  52
63.48  25

Cell and atoms:
a b c (Å): 4.9920 5.1190 5.1205
angles (deg): 90.00 90.00 90.00
Positions (direct):
Mn: 0.0000 0.0000 0.0000
H: 0.3798 0.3352 0.5010
H: 0.3798 0.6648 0.5010
H: 0.6209 0.5000 0.3363
H: 0.6208 0.5000 0.6659
N: 0.5003 0.5000 0.5011
Cl: 0.0359 0.0000 0.5006
Cl: 0.5004 0.0000 0.0009
Cl: 0.9655 0.5000 0.0009

The following is a calculated powder XRD pattern of HfIn2Br5F. It was derived from DFT lattice parameters and positions (PBE), using Cu Kα X-rays.

The 12 most intense peaks (2θ from 10° to 80°), by angle:
2θ/deg  intensity
14.14  97
16.05  47
23.08  63
27.43  35
28.49  77
32.42  23
33.31  100
36.58  31
40.92  28
47.17  32
47.82  35
50.30  25

Cell and atoms:
a b c (Å): 7.7099 7.7099 7.7099
angles (deg): 120.87 120.87 88.49
Positions (direct):
Hf: 0.0000 0.0000 0.0000
In: 0.1778 0.6778 0.5000
In: 0.6778 0.1778 0.5000
Br: 0.2392 0.2392 0.0000
Br: 0.2504 0.2504 0.4918
Br: 0.2504 0.7586 0.0000
Br: 0.7586 0.2504 0.0000
Br: 0.7586 0.7586 0.5082
F: 0.8255 0.8255 0.0000

The following is a calculated powder XRD pattern of LaPm7Nd4. It was derived from DFT lattice parameters and positions (PBE), using Cu Kα X-rays.

The 12 most intense peaks (2θ from 10° to 80°), by angle:
2θ/deg  intensity
28.06  36
28.66  15
30.10  50
30.97  100
32.59  58
32.62  28
38.96  16
49.28  38
52.91  15
56.10  18
58.81  30
59.35  16

Cell and atoms:
a b c (Å): 6.4123 7.3875 9.1614
angles (deg): 90.07 103.57 90.01
Positions (direct):
La: 0.0000 0.0000 0.0000
Pm: 0.0000 0.5000 0.0000
Pm: 0.2209 0.9998 0.6676
Pm: 0.2792 0.2503 0.3325
Pm: 0.5000 0.2503 0.0003
Pm: 0.5000 0.7497 0.9997
Pm: 0.7208 0.7497 0.6675
Pm: 0.7791 0.0002 0.3324
Nd: 0.2203 0.5000 0.6679
Nd: 0.2795 0.7503 0.3330
Nd: 0.7205 0.2497 0.6670
Nd: 0.7797 0.5000 0.3321

The following is a calculated powder XRD pattern of TbPt6. It was derived from DFT lattice parameters and positions (PBE), using Cu Kα X-rays.

The 12 most intense peaks (2θ from 10° to 80°), by angle:
2θ/deg  intensity
33.46  31
34.14  27
36.84  48
37.48  39
37.86  28
38.36  44
38.61  31
39.01  49
39.73  52
41.61  29
42.99  100
69.64  27

Cell and atoms:
a b c (Å): 9.5048 5.3533 9.7580
angles (deg): 90.00 90.00 90.00
Positions (direct):
Tb: 0.2203 0.2500 0.0491
Tb: 0.2797 0.7500 0.5491
Tb: 0.7203 0.2500 0.4509
Tb: 0.7797 0.7500 0.9509
Pt: 0.0078 0.2500 0.5210
Pt: 0.0402 0.5036 0.7597
Pt: 0.0402 0.9964 0.7597
Pt: 0.0755 0.7500 0.0130
Pt: 0.2089 0.7500 0.2658
Pt: 0.2103 0.2500 0.3350
Pt: 0.2897 0.7500 0.8350
Pt: 0.2911 0.2500 0.7658
Pt: 0.4245 0.2500 0.5130
Pt: 0.4598 0.0036 0.2597
Pt: 0.4598 0.4964 0.2597
Pt: 0.4922 0.7500 0.0210
Pt: 0.5078 0.2500 0.9790
Pt: 0.5402 0.5036 0.7403
Pt: 0.5402 0.9964 0.7403
Pt: 0.5755 0.7500 0.4870
Pt: 0.7089 0.7500 0.2342
Pt: 0.7103 0.2500 0.1650
Pt: 0.7897 0.7500 0.6650
Pt: 0.7911 0.2500 0.7342
Pt: 0.9245 0.2500 0.9870
Pt: 0.9598 0.0036 0.2403
Pt: 0.9598 0.4964 0.2403
Pt: 0.9922 0.7500 0.4790

The following is a calculated powder XRD pattern of Ac2Pb3Au6. It was derived from DFT lattice parameters and positions (PBE), using Cu Kα X-rays.

The 12 most intense peaks (2θ from 10° to 80°), by angle:
2θ/deg  intensity
30.62  100
32.85  43
33.18  51
35.01  24
35.87  23
39.49  25
42.31  23
43.40  27
55.48  20
62.22  15
69.80  17
73.00  15

Cell and atoms:
a b c (Å): 8.6764 8.6764 4.1699
angles (deg): 90.00 90.00 109.50
Positions (direct):
Ac: 0.2052 0.2052 0.0000
Ac: 0.7948 0.7948 0.0000
Pb: 0.2648 0.7352 0.0000
Pb: 0.5000 0.5000 0.5000
Pb: 0.7352 0.2648 0.0000
Au: 0.1077 0.8923 0.5000
Au: 0.1339 0.4511 0.5000
Au: 0.4511 0.1339 0.5000
Au: 0.5489 0.8661 0.5000
Au: 0.8661 0.5489 0.5000
Au: 0.8923 0.1077 0.5000

The following is a calculated powder XRD pattern of LiPb. It was derived from DFT lattice parameters and positions (PBE), using Cu Kα X-rays.

The 12 most intense peaks (2θ from 10° to 80°), by angle:
2θ/deg  intensity
19.47  28
21.26  100
33.21  67
35.43  58
38.79  29
40.74  27
41.69  18
49.35  23
55.83  16
57.88  13
62.20  23
65.85  13

Cell and atoms:
a b c (Å): 5.0677 5.0677 13.6778
angles (deg): 90.00 90.00 120.00
Positions (direct):
Li: 0.0000 0.0000 0.1264
Li: 0.0000 0.0000 0.8736
Li: 0.3333 0.6667 0.5403
Li: 0.3333 0.6667 0.7931
Li: 0.6667 0.3333 0.2069
Li: 0.6667 0.3333 0.4597
Pb: 0.0000 0.0000 0.3818
Pb: 0.0000 0.0000 0.6182
Pb: 0.3333 0.6667 0.0484
Pb: 0.3333 0.6667 0.2849
Pb: 0.6667 0.3333 0.7151
Pb: 0.6667 0.3333 0.9516

The following is a calculated powder XRD pattern of K2MgZrI. It was derived from DFT lattice parameters and positions (PBE), using Cu Kα X-rays.

The 12 most intense peaks (2θ from 10° to 80°), by angle:
2θ/deg  intensity
12.44  100
17.63  32
23.80  24
25.03  58
28.04  30
32.03  15
34.49  17
35.69  22
41.08  29
43.08  18
48.71  17
67.78  12

Cell and atoms:
a b c (Å): 7.1149 7.1149 5.5883
angles (deg): 90.00 90.00 90.00
Positions (direct):
K: 0.0000 0.5000 0.0000
K: 0.5000 0.0000 0.0000
Mg: 0.0000 0.0000 0.5000
Zr: 0.5000 0.5000 0.0000
I: 0.5000 0.5000 0.5000